[1]
Starting from a structure optimized by DFT (GGA-PBE), the powder X-ray diffraction pattern of GaPd was computed for a wavelength of 1.5418 Å.
Peak positions follow from Bragg's law for the DFT cell and can differ from measured ones.

Most intense lines, 2θ = 10–90°, by angle:
36.4 deg, rel. 76
37.4 deg, rel. 73
41.8 deg, rel. 100
45.2 deg, rel. 82
53.2 deg, rel. 52
69.2 deg, rel. 21
71.7 deg, rel. 20
75.4 deg, rel. 19
82.5 deg, rel. 27
89.3 deg, rel. 17

Structure:
```
GaPd
1.0
2.878 0.000 0.000
0.000 4.933 0.000
0.000 0.000 4.388
Ga Pd
2 2
direct
0.250 0.250 0.129 Ga
0.750 0.750 0.871 Ga
0.250 0.750 0.374 Pd
0.750 0.250 0.626 Pd
```


[2]
Starting from a structure optimized by DFT (GGA-PBE), the powder X-ray diffraction pattern of LiZn10Ag2 was computed for a wavelength of 1.5418 Å.
Peak positions follow from Bragg's law for the DFT cell and can differ from measured ones.

Most intense lines, 2θ = 10–90°, by angle:
14.2 deg, rel. 35
20.2 deg, rel. 74
38.5 deg, rel. 100
40.3 deg, rel. 34
40.4 deg, rel. 38
41.0 deg, rel. 74
43.7 deg, rel. 82
43.8 deg, rel. 74
46.0 deg, rel. 41
46.2 deg, rel. 38

Structure:
```
LiZn10Ag2
1.0
0.000 6.215 6.247
2.763 0.000 6.247
2.763 6.215 0.000
Li Zn Ag
1 10 2
direct
0.000 0.000 0.000 Li
0.000 0.000 0.500 Zn
0.005 0.652 0.348 Zn
0.284 0.505 0.495 Zn
0.348 0.995 0.005 Zn
0.495 0.716 0.284 Zn
0.500 0.500 0.000 Zn
0.505 0.284 0.716 Zn
0.652 0.005 0.995 Zn
0.716 0.495 0.505 Zn
0.995 0.348 0.652 Zn
0.000 0.500 0.000 Ag
0.500 0.000 0.500 Ag
```